Structure and theoretical XRD peak list of KCdSnPd (the PBE geometry in Alexandria; Cu Kα (λ = 1.5418 Å)).

Largest 10 diffraction maxima, low angle first, 10° ≤ 2θ ≤ 80°:
d/Å  2theta  Rel. int.
6.278  14.1  100
3.139  28.4  14
3.083  29.0  21
2.767  32.4  39
2.354  38.2  58
2.204  40.9  44
2.039  44.4  21
1.884  48.3  19
1.793  50.9  11
1.579  58.5  14

Structure:
abc: 4.7088 4.7088 18.8348
angles: 90.00 90.00 120.00
Space group R3m (No. 160, hexagonal axes)
Unique sites:
K (0.0000, 0.0000, 0.0000)
Cd (0.0000, 0.0000, 0.4652)
Sn (0.0000, 0.0000, 0.1976)
Pd (0.0000, 0.0000, 0.8201)

---

Structure and theoretical XRD peak list of KPmCd17 (the PBE geometry in Alexandria; Cu Kα (λ = 1.5418 Å)).

Largest 10 diffraction maxima, low angle first, 10° ≤ 2θ ≤ 80°:
d/Å  2theta  Rel. int.
2.952  30.3  32
2.876  31.1  24
2.556  35.1  49
2.548  35.2  100
2.522  35.6  32
2.498  35.9  30
2.280  39.5  72
2.262  39.9  21
1.476  63.0  18
1.461  63.7  20

Structure:
abc: 10.2249 10.2249 15.1312
angles: 90.00 90.00 120.00
Space group R3m (No. 160, hexagonal axes)
Unique sites:
K (0.0000, 0.0000, 0.0000)
Pm (0.0000, 0.0000, 0.3325)
Cd (0.0000, 0.0000, 0.5571)
Cd (0.0000, 0.0000, 0.7559)
Cd (0.0360, 0.3673, 0.3298)
Cd (0.1723, 0.3445, 0.1415)
Cd (0.1759, 0.3518, 0.5001)
Cd (0.1860, 0.3720, 0.8473)